For Li4Zn2NiPt, a cell relaxed with PBE gives the calculated powder XRD pattern in this record (Cu Kα, 1.54184 Å).
Lines closer than 0.1° are merged.

Structure:
```
data_Li4Zn2NiPt
_chemical_formula_sum 'Li4 Zn2 Ni1 Pt1'
_symmetry_space_group_name_H-M 'P -4 m 2'
_symmetry_Int_Tables_number 115
_cell_length_a 4.198
_cell_length_b 4.198
_cell_length_c 5.944
_cell_angle_alpha 90.00
_cell_angle_beta 90.00
_cell_angle_gamma 90.00
loop_
_symmetry_equiv_pos_as_xyz
'x,y,z'
'y,-x,-z'
'-x,-y,z'
'-y,x,-z'
'-x,y,z'
'-y,-x,-z'
'x,-y,z'
'y,x,-z'
loop_
_atom_site_label
_atom_site_type_symbol
_atom_site_fract_x
_atom_site_fract_y
_atom_site_fract_z
Li1 Li 0.000 0.000 0.000
Li2 Li 0.000 0.500 0.246
Li3 Li 0.500 0.500 0.500
Zn1 Zn 0.000 0.500 0.761
Ni1 Ni 0.500 0.500 0.000
Pt1 Pt 0.000 0.000 0.500
```

Largest 10 diffraction maxima, in order of falling intensity, 5° ≤ 2θ ≤ 70°:
hkl 1 0 1, 26.0°, intensity 100; hkl 2 0 0, 43.1°, intensity 87; hkl 2 1 1, 51.0°, intensity 47; hkl 3 0 1, 68.9°, intensity 19; hkl 1 0 0, 21.2°, intensity 16; hkl 0 0 1, 14.9°, intensity 15; hkl 2 2 0, 62.6°, intensity 14; hkl 1 1 1, 33.7°, intensity 12; hkl 0 0 2, 30.1°, intensity 8; hkl 1 0 2, 37.1°, intensity 8

For La2Sm2C2BrCl4, a cell relaxed with PBE gives the calculated powder XRD pattern in this record (Cu Kα, 1.54184 Å).
Lines closer than 0.1° are merged.

Structure:
```
data_La2Sm2C2BrCl4
_chemical_formula_sum 'La4 Sm4 C4 Br2 Cl8'
_symmetry_space_group_name_H-M 'C 1 2/m 1'
_symmetry_Int_Tables_number 12
_cell_length_a 18.871
_cell_length_b 3.952
_cell_length_c 8.310
_cell_angle_alpha 90.00
_cell_angle_beta 104.68
_cell_angle_gamma 90.00
loop_
_symmetry_equiv_pos_as_xyz
'x,y,z'
'-x,-y,-z'
'-x,y,-z'
'x,-y,z'
'x+1/2,y+1/2,z'
'-x+1/2,-y+1/2,-z'
'-x+1/2,y+1/2,-z'
'x+1/2,-y+1/2,z'
loop_
_atom_site_label
_atom_site_type_symbol
_atom_site_fract_x
_atom_site_fract_y
_atom_site_fract_z
La1 La 0.001 0.000 0.297
Sm1 Sm 0.160 0.500 0.605
C1 C 0.038 0.500 0.525
Br1 Br 0.000 0.500 0.000
Cl1 Cl 0.164 0.000 0.843
Cl2 Cl 0.172 0.000 0.365
```

Largest 10 diffraction maxima, in order of falling intensity, 5° ≤ 2θ ≤ 70°:
hkl 1 1 -2, 31.2°, intensity 100; hkl 0 0 1, 11.0°, intensity 72; hkl 6 0 0, 29.4°, intensity 64; hkl 2 0 0, 9.7°, intensity 39; hkl 5 1 2, 43.9°, intensity 38; hkl 7 1 -2, 42.9°, intensity 36; hkl 3 1 -1, 27.7°, intensity 29; hkl 3 1 1, 30.6°, intensity 29; hkl 2 0 1, 16.4°, intensity 29; hkl 3 1 0, 26.9°, intensity 26

For Re11Ni4, a cell relaxed with PBE gives the calculated powder XRD pattern in this record (Cu Kα, 1.54184 Å).
Lines closer than 0.1° are merged.

Structure:
```
data_Re11Ni4
_chemical_formula_sum 'Re22 Ni8'
_symmetry_space_group_name_H-M 'P 42/m n m'
_symmetry_Int_Tables_number 136
_symmetry_space_group_name_Hall '-P 4n 2n'
_cell_length_a 9.186
_cell_length_b 9.186
_cell_length_c 4.878
_cell_angle_alpha 90.00
_cell_angle_beta 90.00
_cell_angle_gamma 90.00
loop_
_atom_site_label
_atom_site_type_symbol
_atom_site_fract_x
_atom_site_fract_y
_atom_site_fract_z
Re1 Re 0.000 0.000 0.000
Re2 Re 0.036 0.367 0.500
Re3 Re 0.100 0.100 0.500
Re4 Re 0.185 0.815 0.251
Ni1 Ni 0.064 0.260 0.000
```

Largest 10 diffraction maxima, in order of falling intensity, 5° ≤ 2θ ≤ 70°:
hkl 4 1 1, 44.7°, intensity 100; hkl 4 1 0, 40.5°, intensity 84; hkl 2 1 2, 43.1°, intensity 69; hkl 2 0 2, 41.9°, intensity 62; hkl 3 3 0, 41.7°, intensity 51; hkl 3 3 1, 45.9°, intensity 30; hkl 3 1 1, 36.0°, intensity 21; hkl 3 1 2, 48.8°, intensity 17; hkl 2 1 1, 28.4°, intensity 16; hkl 0 0 2, 36.8°, intensity 13